Computed powder X-ray diffraction pattern of Zr5Tl2Si2 for copper Kα, from a structure optimized by DFT (GGA-PBE).

Unit cell a=8.2493 b=8.2493 c=7.1751 alpha=90.00 beta=90.00 gamma=51.72
Atoms (fractional coordinates):
Zr (0.0000, 0.0000, 0.0000)
Zr (0.0614, 0.7025, 0.6763)
Zr (0.2025, 0.5614, 0.1763)
Zr (0.2975, 0.9386, 0.6763)
Zr (0.4386, 0.7975, 0.1763)
Zr (0.5000, 0.5000, 0.5000)
Zr (0.5614, 0.2025, 0.8237)
Zr (0.7025, 0.0614, 0.3237)
Zr (0.7975, 0.4386, 0.8237)
Zr (0.9386, 0.2975, 0.3237)
Tl (0.2220, 0.2220, 0.0000)
Tl (0.2780, 0.2780, 0.5000)
Tl (0.7220, 0.7220, 0.5000)
Tl (0.7780, 0.7780, 0.0000)
Si (0.1204, 0.8796, 0.3777)
Si (0.3796, 0.6204, 0.8777)
Si (0.6204, 0.3796, 0.1223)
Si (0.8796, 0.1204, 0.6223)

Largest 10 diffraction maxima, by intensity, 2θ = 10–90°:
- 34.75 deg, I 1000
- 35.33 deg, I 490
- 35.00 deg, I 465
- 27.58 deg, I 408
- 40.15 deg, I 323
- 70.55 deg, I 288
- 11.92 deg, I 246
- 24.78 deg, I 207
- 63.20 deg, I 203
- 36.98 deg, I 186